Entry 1:
For LiTbPrNiO6, a DFT-relaxed cell (PBE+U, the Materials Project) gives the computed X-ray powder pattern in this record (copper Kα).

Cell and atoms:
a = 5.1014 Å, b = 5.1014 Å, c = 8.9270 Å
α = 90.00°, β = 90.00°, γ = 91.36°
Positions (direct):
1 Li 0.0000 0.5000 0.0000
2 Li 0.5000 0.0000 0.5000
3 Tb 0.0000 0.0000 0.2500
4 Tb 0.0000 0.0000 0.7500
5 Pr 0.5000 0.5000 0.2500
6 Pr 0.5000 0.5000 0.7500
7 Ni 0.0000 0.5000 0.5000
8 Ni 0.5000 0.0000 0.0000
9 O 0.0000 0.5000 0.2587
10 O 0.0000 0.5000 0.7413
11 O 0.1047 0.1100 0.0000
12 O 0.1100 0.1047 0.5000
13 O 0.3497 0.6429 0.0000
14 O 0.3571 0.6503 0.5000
15 O 0.5000 0.0000 0.2413
16 O 0.5000 0.0000 0.7587
17 O 0.6429 0.3497 0.5000
18 O 0.6503 0.3571 0.0000
19 O 0.8900 0.8953 0.5000
20 O 0.8953 0.8900 0.0000

The 10 most intense peaks (2θ = 15–90°), in order of rising 2θ:
Position (°2θ)	Rel. int.
19.9	47
24.4	38
25.0	42
31.7	79
32.1	68
35.2	100
40.4	49
40.8	57
54.7	54
61.5	34



Entry 2:
For K2Li2CoO4, a DFT-relaxed cell (PBE+U, the Materials Project) gives the computed X-ray powder pattern in this record (copper Kα).

Cell and atoms:
a = 5.5089 Å, b = 9.1262 Å, c = 11.1613 Å
α = 90.00°, β = 111.75°, γ = 90.00°
Positions (direct):
1 K 0.2038 0.0015 0.3585
2 K 0.2038 0.4985 0.8585
3 K 0.2891 0.7461 0.6437
4 K 0.2891 0.7539 0.1437
5 K 0.7109 0.2461 0.8563
6 K 0.7109 0.2539 0.3563
7 K 0.7962 0.5015 0.1415
8 K 0.7962 0.9985 0.6415
9 Li 0.1064 0.2433 0.6863
10 Li 0.1064 0.2567 0.1863
11 Li 0.1518 0.5174 0.4308
12 Li 0.1518 0.9826 0.9308
13 Li 0.8482 0.0174 0.0692
14 Li 0.8482 0.4826 0.5692
15 Li 0.8936 0.7433 0.8137
16 Li 0.8936 0.7567 0.3137
17 Co 0.3710 0.2137 0.0471
18 Co 0.3710 0.2863 0.5471
19 Co 0.6290 0.7137 0.4529
20 Co 0.6290 0.7863 0.9529
21 O 0.2232 0.1880 0.8724
22 O 0.2232 0.3120 0.3724
23 O 0.2244 0.0734 0.1156
24 O 0.2244 0.4266 0.6156
25 O 0.2703 0.1148 0.5922
26 O 0.2703 0.3852 0.0922
27 O 0.2733 0.7079 0.3926
28 O 0.2733 0.7921 0.8926
29 O 0.7267 0.2079 0.1074
30 O 0.7267 0.2921 0.6074
31 O 0.7297 0.6148 0.9078
32 O 0.7297 0.8852 0.4078
33 O 0.7756 0.5734 0.3844
34 O 0.7756 0.9266 0.8844
35 O 0.7768 0.6880 0.6276
36 O 0.7768 0.8120 0.1276

The 10 most intense peaks (2θ = 15–90°), in order of rising 2θ:
Position (°2θ)	Rel. int.
19.5	91
21.7	100
26.2	64
30.6	57
33.9	61
34.3	64
34.9	78
35.1	73
44.3	57
44.6	59



Entry 3:
For TiV4CoO12, a DFT-relaxed cell (PBE+U, the Materials Project) gives the computed X-ray powder pattern in this record (copper Kα).

Cell and atoms:
a = 6.8267 Å, b = 6.8267 Å, c = 5.7485 Å
α = 104.86°, β = 104.86°, γ = 84.40°
Positions (direct):
1 Ti 0.0000 0.0000 0.0000
2 V 0.2995 0.2932 0.4986
3 V 0.4798 0.1015 0.0009
4 V 0.7068 0.7005 0.5014
5 V 0.8985 0.5202 0.9991
6 Co 0.1813 0.8187 0.5000
7 O 0.0085 0.2645 0.9813
8 O 0.0646 0.7271 0.1261
9 O 0.1298 0.0925 0.3711
10 O 0.1810 0.5224 0.5105
11 O 0.2729 0.9354 0.8739
12 O 0.4278 0.2789 0.7996
13 O 0.4751 0.2580 0.3084
14 O 0.4776 0.8190 0.4895
15 O 0.7211 0.5722 0.2004
16 O 0.7355 0.9915 0.0187
17 O 0.7420 0.5249 0.6916
18 O 0.9075 0.8702 0.6289

The 10 most intense peaks (2θ = 15–90°), in order of rising 2θ:
Position (°2θ)	Rel. int.
18.6	45
19.4	42
23.7	21
25.5	16
28.1	100
29.9	56
33.2	38
35.2	24
44.6	22
54.4	20



Entry 4:
For NaLi3Fe4Si8O24, a DFT-relaxed cell (PBE+U, the Materials Project) gives the computed X-ray powder pattern in this record (copper Kα).

Cell and atoms:
a = 5.3607 Å, b = 6.5864 Å, c = 12.9252 Å
α = 90.44°, β = 99.27°, γ = 104.41°
Positions (direct):
1 Na 0.0000 0.0000 0.0000
2 Li 0.2810 0.5619 0.7810
3 Li 0.5105 0.0213 0.5101
4 Li 0.7809 0.5626 0.2810
5 Fe 0.0958 0.1914 0.5949
6 Fe 0.1958 0.3934 0.1971
7 Fe 0.5959 0.1926 0.0968
8 Fe 0.6968 0.3923 0.6956
9 Si 0.0531 0.6765 0.5435
10 Si 0.2416 0.9084 0.2498
11 Si 0.3348 0.0891 0.8364
12 Si 0.4634 0.4971 0.4538
13 Si 0.5454 0.6741 0.0441
14 Si 0.7409 0.9068 0.7465
15 Si 0.8292 0.0866 0.3387
16 Si 0.9577 0.4961 0.9536
17 O 0.0270 0.9374 0.3235
18 O 0.0292 0.4937 0.6312
19 O 0.0319 0.9386 0.8200
20 O 0.1276 0.6705 0.2009
21 O 0.1648 0.9156 0.5908
22 O 0.2597 0.6461 0.9680
23 O 0.2652 0.6458 0.4690
24 O 0.2702 0.0962 0.1652
25 O 0.3496 0.2632 0.7450
26 O 0.4005 0.1885 0.9552
27 O 0.4086 0.4029 0.3342
28 O 0.4432 0.3213 0.5448
29 O 0.5269 0.4916 0.1312
30 O 0.5281 0.9362 0.3250
31 O 0.5308 0.9375 0.8222
32 O 0.6273 0.6676 0.7003
33 O 0.6486 0.9109 0.0944
34 O 0.7564 0.6441 0.9680
35 O 0.7621 0.0904 0.6597
36 O 0.7653 0.6458 0.4691
37 O 0.8491 0.2622 0.2474
38 O 0.8844 0.1827 0.4579
39 O 0.9067 0.4002 0.8345
40 O 0.9422 0.3290 0.0482

The 10 most intense peaks (2θ = 15–90°), in order of rising 2θ:
Position (°2θ)	Rel. int.
19.8	30
20.2	25
24.9	27
29.5	100
30.7	57
35.1	20
35.5	34
36.7	27
56.5	19
67.5	22



Entry 5:
For K2VAgF6, a DFT-relaxed cell (PBE+U, the Materials Project) gives the computed X-ray powder pattern in this record (copper Kα).

Cell and atoms:
a = 6.1744 Å, b = 6.1744 Å, c = 6.1744 Å
α = 60.00°, β = 60.00°, γ = 60.00°
Positions (direct):
1 K 0.2500 0.2500 0.2500
2 K 0.7500 0.7500 0.7500
3 V 0.0000 0.0000 0.0000
4 Ag 0.5000 0.5000 0.5000
5 F 0.2241 0.2241 0.7759
6 F 0.2241 0.7759 0.2241
7 F 0.2241 0.7759 0.7759
8 F 0.7759 0.2241 0.2241
9 F 0.7759 0.2241 0.7759
10 F 0.7759 0.7759 0.2241

The 10 most intense peaks (2θ = 15–90°), in order of rising 2θ:
Position (°2θ)	Rel. int.
20.3	42
28.9	100
34.1	14
41.4	51
45.3	11
46.5	16
51.3	35
59.9	28
67.9	17
82.7	19



What did the second record say?
For K2Li2CoO4, a DFT-relaxed cell (PBE+U, the Materials Project) gives the computed X-ray powder pattern in this record (copper Kα).

Cell and atoms:
a = 5.5089 Å, b = 9.1262 Å, c = 11.1613 Å
α = 90.00°, β = 111.75°, γ = 90.00°
Positions (direct):
1 K 0.2038 0.0015 0.3585
2 K 0.2038 0.4985 0.8585
3 K 0.2891 0.7461 0.6437
4 K 0.2891 0.7539 0.1437
5 K 0.7109 0.2461 0.8563
6 K 0.7109 0.2539 0.3563
7 K 0.7962 0.5015 0.1415
8 K 0.7962 0.9985 0.6415
9 Li 0.1064 0.2433 0.6863
10 Li 0.1064 0.2567 0.1863
11 Li 0.1518 0.5174 0.4308
12 Li 0.1518 0.9826 0.9308
13 Li 0.8482 0.0174 0.0692
14 Li 0.8482 0.4826 0.5692
15 Li 0.8936 0.7433 0.8137
16 Li 0.8936 0.7567 0.3137
17 Co 0.3710 0.2137 0.0471
18 Co 0.3710 0.2863 0.5471
19 Co 0.6290 0.7137 0.4529
20 Co 0.6290 0.7863 0.9529
21 O 0.2232 0.1880 0.8724
22 O 0.2232 0.3120 0.3724
23 O 0.2244 0.0734 0.1156
24 O 0.2244 0.4266 0.6156
25 O 0.2703 0.1148 0.5922
26 O 0.2703 0.3852 0.0922
27 O 0.2733 0.7079 0.3926
28 O 0.2733 0.7921 0.8926
29 O 0.7267 0.2079 0.1074
30 O 0.7267 0.2921 0.6074
31 O 0.7297 0.6148 0.9078
32 O 0.7297 0.8852 0.4078
33 O 0.7756 0.5734 0.3844
34 O 0.7756 0.9266 0.8844
35 O 0.7768 0.6880 0.6276
36 O 0.7768 0.8120 0.1276

The 10 most intense peaks (2θ = 15–90°), in order of rising 2θ:
Position (°2θ)	Rel. int.
19.5	91
21.7	100
26.2	64
30.6	57
33.9	61
34.3	64
34.9	78
35.1	73
44.3	57
44.6	59